Simulated XRD peak list
Compound: KLiTm2Mo4O16
Radiation: copper Kα
Structure: the PBE+U geometry in Alexandria

Most intense lines, 10° ≤ 2θ ≤ 90°, sorted by position:
24.9°, rel. 52, hkl 1 1 -4
26.8°, rel. 55, hkl 1 1 4
27.2°, rel. 52, hkl 1 3 0
27.4°, rel. 37, hkl 1 3 -1
27.8°, rel. 56, hkl 1 3 1
28.2°, rel. 100, hkl 1 1 -5
28.3°, rel. 55, hkl 1 3 -2
29.1°, rel. 46, hkl 1 3 2
29.8°, rel. 44, hkl 1 3 -3
30.3°, rel. 67, hkl 1 1 5
34.4°, rel. 47, hkl 2 0 0
57.3°, rel. 39, hkl 1 5 -9

Crystal structure
abc: 5.228 12.651 19.820
angles: 90.00 94.46 90.00
Space group C2/c (No. 15)
One atom of each set of equivalent atoms:
K  0.000  0.031  0.250 [4 per cell]
Li  0.000  0.313  0.250 [4 per cell]
Tm  0.002  0.147  0.469 [8 per cell]
Mo  0.017  0.255  0.644 [8 per cell]
Mo  0.023  0.438  0.091 [8 per cell]
O  0.098  0.409  0.330 [8 per cell]
O  0.120  0.134  0.832 [8 per cell]
O  0.169  0.333  0.039 [8 per cell]
O  0.191  0.237  0.565 [8 per cell]
O  0.228  0.449  0.599 [8 per cell]
O  0.231  0.295  0.713 [8 per cell]
O  0.234  0.020  0.537 [8 per cell]
O  0.250  0.155  0.128 [8 per cell]